1.
Structure and theoretical powder XRD pattern of LiBe10Nb (a DFT-relaxed cell (PBE, Alexandria); λ = 1.5418 Å (Cu Kα)).

Structure:
```
data_LiBe10Nb
_chemical_formula_sum 'Li1 Be10 Nb1'
_cell_length_a 3.474
_cell_length_b 4.370
_cell_length_c 7.610
_cell_angle_alpha 90.00
_cell_angle_beta 90.00
_cell_angle_gamma 90.00
_space_group_name_H-M_alt 'P m m m'
_space_group_IT_number 47
loop_
_space_group_symop_operation_xyz
'x,y,z'
'-x,-y,-z'
'-x,-y,z'
'x,y,-z'
'x,-y,-z'
'-x,y,z'
'-x,y,-z'
'x,-y,z'
loop_
_atom_site_label
_atom_site_fract_x
_atom_site_fract_y
_atom_site_fract_z
Li1 0.000 0.000 0.000
Be1 0.000 0.000 0.326
Be2 0.000 0.500 0.164
Be3 0.500 0.000 0.500
Be4 0.500 0.263 0.262
Be5 0.500 0.500 0.000
Nb1 0.000 0.500 0.500
```

Principal peaks in the range 2θ from 15° to 90°, in order of falling intensity:
| h k l | Position (°2θ) | intensity |
| --- | --- | --- |
| 1 1 1 | 35.02 | 100 |
| 0 1 1 | 23.44 | 76 |
| 0 1 0 | 20.32 | 58 |
| 1 0 1 | 28.24 | 45 |
| 1 1 3 | 49.12 | 45 |
| 1 1 2 | 40.78 | 38 |
| 0 1 2 | 31.17 | 37 |
| 1 1 0 | 32.94 | 31 |
| 1 0 0 | 25.64 | 29 |
| 0 1 3 | 41.15 | 26 |
| 1 2 0 | 49.26 | 22 |
| 0 2 2 | 48.01 | 20 |

2.
Structure and theoretical powder XRD pattern of Ca2In (a DFT-relaxed cell (PBE, Alexandria); λ = 1.5418 Å (Cu Kα)).

Structure:
```
data_Ca2In
_chemical_formula_sum 'Ca8 In4'
_cell_length_a 7.204
_cell_length_b 5.375
_cell_length_c 9.988
_cell_angle_alpha 90.00
_cell_angle_beta 90.00
_cell_angle_gamma 90.00
_space_group_name_H-M_alt 'P n m a'
_space_group_IT_number 62
loop_
_space_group_symop_operation_xyz
'x,y,z'
'-x,-y,-z'
'-x+1/2,-y,z+1/2'
'x+1/2,y,-z+1/2'
'x+1/2,-y+1/2,-z+1/2'
'-x+1/2,y+1/2,z+1/2'
'-x,y+1/2,-z'
'x,-y+1/2,z'
loop_
_atom_site_label
_atom_site_fract_x
_atom_site_fract_y
_atom_site_fract_z
Ca1 0.036 0.250 0.203
Ca2 0.174 0.250 0.566
In1 0.221 0.250 0.889
```

Principal peaks in the range 2θ from 15° to 90°, in order of falling intensity:
| h k l | Position (°2θ) | intensity |
| --- | --- | --- |
| 0 1 3 | 31.61 | 100 |
| 2 1 1 | 31.21 | 100 |
| 0 2 0 | 33.34 | 62 |
| 1 0 2 | 21.65 | 57 |
| 1 1 1 | 22.48 | 51 |
| 2 1 0 | 29.86 | 38 |
| 1 1 3 | 34.03 | 35 |
| 0 1 1 | 18.75 | 33 |
| 2 1 3 | 40.54 | 31 |
| 2 0 0 | 24.72 | 30 |
| 1 2 2 | 40.10 | 24 |
| 3 0 2 | 41.75 | 21 |

3.
Structure and theoretical powder XRD pattern of Ho5ThZn6 (a DFT-relaxed cell (PBE, Alexandria); λ = 1.5418 Å (Cu Kα)).

Structure:
```
data_Ho5ThZn6
_chemical_formula_sum 'Ho10 Th2 Zn12'
_cell_length_a 5.039
_cell_length_b 7.165
_cell_length_c 15.145
_cell_angle_alpha 90.00
_cell_angle_beta 90.00
_cell_angle_gamma 90.00
_space_group_name_H-M_alt 'I m m m'
_space_group_IT_number 71
_space_group_name_Hall '-I 2 2'
loop_
_atom_site_label
_atom_site_fract_x
_atom_site_fract_y
_atom_site_fract_z
Ho1 0.000 0.000 0.000
Ho2 0.000 0.000 0.335
Ho3 0.000 0.500 0.333
Th1 0.000 0.500 0.000
Zn1 0.000 0.244 0.170
Zn2 0.000 0.260 0.500
```

Principal peaks in the range 2θ from 15° to 90°, in order of falling intensity:
| h k l | Position (°2θ) | intensity |
| --- | --- | --- |
| 1 2 3 | 35.53 | 100 |
| 3 2 3 | 63.89 | 29 |
| 2 0 0 | 35.64 | 20 |
| 1 0 3 | 24.97 | 17 |
| 2 4 0 | 63.73 | 14 |
| 2 0 6 | 51.23 | 14 |
| 3 2 9 | 86.20 | 9 |
| 2 4 6 | 75.18 | 9 |
| 0 2 0 | 24.85 | 9 |
| 0 2 6 | 43.91 | 8 |
| 0 4 0 | 50.98 | 7 |
| 1 6 3 | 85.81 | 6 |

4.
Structure and theoretical powder XRD pattern of PaVSi2Mo (a DFT-relaxed cell (PBE, Alexandria); λ = 1.5418 Å (Cu Kα)).

Structure:
```
data_PaVSi2Mo
_chemical_formula_sum 'Pa2 V2 Si4 Mo2'
_cell_length_a 3.899
_cell_length_b 3.899
_cell_length_c 11.224
_cell_angle_alpha 90.00
_cell_angle_beta 90.00
_cell_angle_gamma 90.00
_space_group_name_H-M_alt 'I -4 m 2'
_space_group_IT_number 119
_space_group_name_Hall 'I -4 -2'
loop_
_atom_site_label
_atom_site_fract_x
_atom_site_fract_y
_atom_site_fract_z
Pa1 0.000 0.000 0.000
V1 0.000 0.500 0.250
Si1 0.000 0.000 0.394
Mo1 0.000 0.500 0.750
```

Principal peaks in the range 2θ from 15° to 90°, in order of falling intensity:
| h k l | Position (°2θ) | intensity |
| --- | --- | --- |
| 1 1 2 | 36.30 | 100 |
| 1 0 1 | 24.16 | 63 |
| 1 0 3 | 33.18 | 55 |
| 2 0 0 | 46.58 | 30 |
| 2 2 0 | 68.05 | 28 |
| 1 0 5 | 46.69 | 27 |
| 0 0 4 | 31.89 | 25 |
| 2 1 3 | 58.38 | 22 |
| 3 1 2 | 79.60 | 21 |
| 2 0 4 | 57.56 | 18 |
| 1 1 6 | 59.74 | 18 |
| 2 1 1 | 53.15 | 16 |

5.
Structure and theoretical powder XRD pattern of Ba5Co (a DFT-relaxed cell (PBE, Alexandria); λ = 1.5418 Å (Cu Kα)).

Structure:
```
data_Ba5Co
_chemical_formula_sum 'Ba10 Co2'
_cell_length_a 6.733
_cell_length_b 4.497
_cell_length_c 20.317
_cell_angle_alpha 90.00
_cell_angle_beta 90.00
_cell_angle_gamma 90.00
_space_group_name_H-M_alt 'A m m 2'
_space_group_IT_number 38
loop_
_space_group_symop_operation_xyz
'x,y,z'
'-x,-y,z'
'-x,y,z'
'x,-y,z'
'x,y+1/2,z+1/2'
'-x,-y+1/2,z+1/2'
'-x,y+1/2,z+1/2'
'x,-y+1/2,z+1/2'
loop_
_atom_site_label
_atom_site_fract_x
_atom_site_fract_y
_atom_site_fract_z
Ba1 0.000 0.000 0.000
Ba2 0.000 0.000 0.222
Ba3 0.500 0.000 0.110
Ba4 0.500 0.000 0.441
Ba5 0.500 0.000 0.778
Co1 0.000 0.000 0.611
```

Principal peaks in the range 2θ from 15° to 90°, in order of falling intensity:
| h k l | Position (°2θ) | intensity |
| --- | --- | --- |
| 1 1 3 | 27.24 | 100 |
| 2 0 0 | 26.48 | 40 |
| 1 0 6 | 29.53 | 25 |
| 2 2 0 | 48.68 | 24 |
| 0 2 0 | 40.12 | 24 |
| 3 1 3 | 47.21 | 22 |
| 1 1 5 | 32.54 | 16 |
| 2 1 9 | 52.91 | 16 |
| 0 1 9 | 44.93 | 13 |
| 0 1 5 | 29.63 | 12 |
| 1 2 6 | 50.58 | 11 |
| 1 0 4 | 21.92 | 9 |

6.
Structure and theoretical powder XRD pattern of Ce8SiGe5 (a DFT-relaxed cell (PBE, Alexandria); λ = 1.5418 Å (Cu Kα)).

Structure:
```
data_Ce8SiGe5
_chemical_formula_sum 'Ce16 Si2 Ge10'
_cell_length_a 8.963
_cell_length_b 8.963
_cell_length_c 8.903
_cell_angle_alpha 90.00
_cell_angle_beta 90.00
_cell_angle_gamma 90.00
_space_group_name_H-M_alt 'I -4'
_space_group_IT_number 82
loop_
_space_group_symop_operation_xyz
'x,y,z'
'y,-x,-z'
'-x,-y,z'
'-y,x,-z'
'x+1/2,y+1/2,z+1/2'
'y+1/2,-x+1/2,-z+1/2'
'-x+1/2,-y+1/2,z+1/2'
'-y+1/2,x+1/2,-z+1/2'
loop_
_atom_site_label
_atom_site_fract_x
_atom_site_fract_y
_atom_site_fract_z
Ce1 0.071 0.323 0.451
Ce2 0.073 0.181 0.800
Si1 0.000 0.500 0.750
Ge1 0.000 0.000 0.500
Ge2 0.123 0.249 0.126
```

Principal peaks in the range 2θ from 15° to 90°, in order of falling intensity:
| h k l | Position (°2θ) | intensity |
| --- | --- | --- |
| 1 3 0 | 31.57 | 100 |
| 3 2 1 | 37.59 | 64 |
| 1 0 3 | 31.76 | 46 |
| 1 2 3 | 37.72 | 41 |
| 1 2 1 | 24.38 | 28 |
| 4 2 2 | 49.90 | 24 |
| 4 3 1 | 52.04 | 18 |
| 1 6 1 | 64.06 | 17 |
| 2 2 0 | 28.21 | 15 |
| 1 4 3 | 52.16 | 12 |
| 3 1 4 | 52.26 | 12 |
| 6 2 0 | 65.93 | 12 |

7.
Structure and theoretical powder XRD pattern of Tb3SmDy8 (a DFT-relaxed cell (PBE, Alexandria); λ = 1.5418 Å (Cu Kα)).

Structure:
```
data_Tb3SmDy8
_chemical_formula_sum 'Tb6 Sm2 Dy16'
_cell_length_a 12.567
_cell_length_b 11.309
_cell_length_c 6.278
_cell_angle_alpha 90.00
_cell_angle_beta 119.95
_cell_angle_gamma 90.00
_space_group_name_H-M_alt 'C 1 m 1'
_space_group_IT_number 8
loop_
_space_group_symop_operation_xyz
'x,y,z'
'x,-y,z'
'x+1/2,y+1/2,z'
'x+1/2,-y+1/2,z'
loop_
_atom_site_label
_atom_site_fract_x
_atom_site_fract_y
_atom_site_fract_z
Tb1 0.000 0.000 0.000
Tb2 0.333 0.249 0.666
Sm1 0.166 0.500 0.666
Dy1 0.166 0.000 0.666
Dy2 0.166 0.249 0.000
Dy3 0.332 0.000 0.332
Dy4 0.333 0.500 0.333
Dy5 0.499 0.000 0.999
Dy6 0.499 0.251 0.332
```

Principal peaks in the range 2θ from 15° to 90°, in order of falling intensity:
| h k l | Position (°2θ) | intensity |
| --- | --- | --- |
| 4 2 -1 | 32.61 | 100 |
| 0 4 0 | 31.65 | 24 |
| 2 0 1 | 28.41 | 24 |
| 6 4 0 | 60.67 | 23 |
| 4 6 -1 | 56.98 | 21 |
| 6 0 0 | 50.31 | 20 |
| 4 2 2 | 61.25 | 16 |
| 2 4 1 | 43.04 | 16 |
| 10 2 -1 | 83.11 | 9 |
| 6 8 0 | 87.49 | 8 |
| 4 6 2 | 79.42 | 8 |
| 2 2 -5 | 83.18 | 5 |

8.
Structure and theoretical powder XRD pattern of PuMgAl2Pt2 (a DFT-relaxed cell (PBE, Alexandria); λ = 1.5418 Å (Cu Kα)).

Structure:
```
data_PuMgAl2Pt2
_chemical_formula_sum 'Pu1 Mg1 Al2 Pt2'
_cell_length_a 4.4136
_cell_length_b 4.4136
_cell_length_c 6.6706
_cell_angle_alpha 90.00
_cell_angle_beta 90.00
_cell_angle_gamma 120.00
_space_group_name_H-M_alt 'P -3 m 1'
_space_group_IT_number 164
_space_group_name_Hall '-P 3 2"'
loop_
_atom_site_label
_atom_site_fract_x
_atom_site_fract_y
_atom_site_fract_z
Pu1 0.0000 0.0000 0.0000
Mg1 0.0000 0.0000 0.5000
Al1 0.3333 0.6667 0.6897
Pt1 0.3333 0.6667 0.2822
```

Principal peaks in the range 2θ from 15° to 90°, in order of falling intensity:
| h k l | Position (°2θ) | intensity |
| --- | --- | --- |
| 0 1 1 | 26.88 | 100 |
| 1 0 2 | 35.73 | 72 |
| 1 1 0 | 40.89 | 56 |
| 2 0 1 | 49.61 | 22 |
| 0 2 2 | 55.41 | 21 |
| 2 1 2 | 71.12 | 20 |
| 1 1 3 | 58.97 | 18 |
| 1 2 1 | 66.19 | 17 |
| 1 1 4 | 70.82 | 13 |
| 1 0 3 | 47.29 | 11 |
| 3 0 0 | 74.47 | 10 |
| 0 0 3 | 40.57 | 9 |

9.
Structure and theoretical powder XRD pattern of Sr2Li5As3 (a DFT-relaxed cell (PBE, Alexandria); λ = 1.5418 Å (Cu Kα)).

Structure:
```
data_Sr2Li5As3
_chemical_formula_sum 'Sr8 Li20 As12'
_cell_length_a 4.452
_cell_length_b 26.496
_cell_length_c 7.243
_cell_angle_alpha 90.00
_cell_angle_beta 90.00
_cell_angle_gamma 90.00
_space_group_name_H-M_alt 'C m c 21'
_space_group_IT_number 36
loop_
_space_group_symop_operation_xyz
'x,y,z'
'-x,-y,z+1/2'
'-x,y,z'
'x,-y,z+1/2'
'x+1/2,y+1/2,z'
'-x+1/2,-y+1/2,z+1/2'
'-x+1/2,y+1/2,z'
'x+1/2,-y+1/2,z+1/2'
loop_
_atom_site_label
_atom_site_fract_x
_atom_site_fract_y
_atom_site_fract_z
Sr1 0.000 0.022 0.000
Sr2 0.000 0.326 0.027
Li1 0.000 0.090 0.386
Li2 0.000 0.202 0.896
Li3 0.000 0.231 0.273
Li4 0.000 0.372 0.502
Li5 0.000 0.441 0.156
As1 0.000 0.111 0.735
As2 0.000 0.271 0.599
As3 0.000 0.449 0.782
```

Principal peaks in the range 2θ from 15° to 90°, in order of falling intensity:
| h k l | Position (°2θ) | intensity |
| --- | --- | --- |
| 1 3 2 | 33.46 | 100 |
| 1 3 1 | 25.54 | 34 |
| 0 6 1 | 23.60 | 32 |
| 0 10 1 | 36.12 | 26 |
| 2 0 0 | 40.53 | 22 |
| 1 1 1 | 23.70 | 21 |
| 0 6 2 | 31.97 | 19 |
| 3 3 2 | 69.23 | 16 |
| 1 3 3 | 43.87 | 14 |
| 1 3 0 | 22.37 | 13 |
| 1 9 0 | 36.59 | 12 |
| 0 4 1 | 18.15 | 11 |

10.
Structure and theoretical powder XRD pattern of DySc2Ta (a DFT-relaxed cell (PBE, Alexandria); λ = 1.5418 Å (Cu Kα)).

Structure:
```
data_DySc2Ta
_chemical_formula_sum 'Dy1 Sc2 Ta1'
_cell_length_a 3.695
_cell_length_b 3.695
_cell_length_c 6.968
_cell_angle_alpha 90.00
_cell_angle_beta 90.00
_cell_angle_gamma 90.00
_space_group_name_H-M_alt 'P 4/m m m'
_space_group_IT_number 123
_space_group_name_Hall '-P 4 2'
loop_
_atom_site_label
_atom_site_fract_x
_atom_site_fract_y
_atom_site_fract_z
Dy1 0.000 0.000 0.000
Sc1 0.500 0.500 0.292
Ta1 0.000 0.000 0.500
```

Principal peaks in the range 2θ from 15° to 90°, in order of falling intensity:
| h k l | Position (°2θ) | intensity |
| --- | --- | --- |
| 1 0 2 | 35.41 | 100 |
| 1 1 0 | 34.32 | 58 |
| 1 0 0 | 24.09 | 47 |
| 2 1 2 | 62.18 | 38 |
| 1 1 2 | 43.29 | 23 |
| 0 0 2 | 25.57 | 22 |
| 2 0 0 | 49.33 | 20 |
| 1 1 4 | 64.27 | 15 |
| 1 0 4 | 58.58 | 12 |
| 1 0 6 | 88.19 | 12 |
| 2 0 2 | 56.37 | 11 |
| 2 1 0 | 55.62 | 10 |

11.
Structure and theoretical powder XRD pattern of ScZn (a DFT-relaxed cell (PBE, Alexandria); λ = 1.5418 Å (Cu Kα)).

Structure:
```
data_ScZn
_chemical_formula_sum 'Sc2 Zn2'
_cell_length_a 3.124
_cell_length_b 3.124
_cell_length_c 7.878
_cell_angle_alpha 90.00
_cell_angle_beta 90.00
_cell_angle_gamma 90.00
_space_group_name_H-M_alt 'P 4/n m m'
_space_group_IT_number 129
loop_
_space_group_symop_operation_xyz
'x,y,z'
'-x,-y,-z'
'-y+1/2,x,z'
'y+1/2,-x,-z'
'-x+1/2,-y+1/2,z'
'x+1/2,y+1/2,-z'
'y,-x+1/2,z'
'-y,x+1/2,-z'
'x+1/2,-y,-z'
'-x+1/2,y,z'
'-y,-x,-z'
'y,x,z'
'-x,y+1/2,-z'
'x,-y+1/2,z'
'y+1/2,x+1/2,-z'
'-y+1/2,-x+1/2,z'
loop_
_atom_site_label
_atom_site_fract_x
_atom_site_fract_y
_atom_site_fract_z
Sc1 0.250 0.250 0.156
Zn1 0.250 0.250 0.597
```

Principal peaks in the range 2θ from 15° to 90°, in order of falling intensity:
| h k l | Position (°2θ) | intensity |
| --- | --- | --- |
| 1 0 2 | 36.71 | 100 |
| 1 1 0 | 40.85 | 42 |
| 2 1 2 | 71.66 | 25 |
| 1 0 3 | 45.10 | 17 |
| 2 0 0 | 59.14 | 13 |
| 1 1 4 | 63.25 | 12 |
| 0 0 4 | 46.09 | 8 |
| 1 1 1 | 42.50 | 7 |
| 2 1 3 | 77.36 | 6 |
| 1 1 5 | 73.88 | 6 |
| 2 0 4 | 78.08 | 6 |
| 2 2 0 | 88.51 | 4 |

12.
Structure and theoretical powder XRD pattern of Mg3Ru4 (a DFT-relaxed cell (PBE, Alexandria); λ = 1.5418 Å (Cu Kα)).

Structure:
```
data_Mg3Ru4
_chemical_formula_sum 'Mg6 Ru8'
_cell_length_a 2.892
_cell_length_b 2.892
_cell_length_c 26.790
_cell_angle_alpha 90.00
_cell_angle_beta 90.00
_cell_angle_gamma 90.00
_space_group_name_H-M_alt 'I 4/m m m'
_space_group_IT_number 139
_space_group_name_Hall '-I 4 2'
loop_
_atom_site_label
_atom_site_fract_x
_atom_site_fract_y
_atom_site_fract_z
Mg1 0.000 0.000 0.000
Mg2 0.000 0.000 0.299
Ru1 0.000 0.000 0.129
Ru2 0.000 0.000 0.431
```

Principal peaks in the range 2θ from 15° to 90°, in order of falling intensity:
| h k l | Position (°2θ) | intensity |
| --- | --- | --- |
| 1 0 7 | 39.03 | 100 |
| 1 1 0 | 44.29 | 43 |
| 1 0 9 | 43.63 | 26 |
| 2 1 7 | 77.97 | 25 |
| 1 0 3 | 32.54 | 17 |
| 2 0 0 | 64.42 | 14 |
| 1 1 4 | 46.42 | 12 |
| 1 0 11 | 48.91 | 12 |
| 1 1 16 | 73.03 | 12 |
| 1 1 14 | 66.97 | 10 |
| 0 0 6 | 19.89 | 9 |
| 2 1 9 | 81.05 | 8 |

13.
Structure and theoretical powder XRD pattern of Th4Ga12Au (a DFT-relaxed cell (PBE, Alexandria); λ = 1.5418 Å (Cu Kα)).

Structure:
```
data_Th4Ga12Au
_chemical_formula_sum 'Th8 Ga24 Au2'
_cell_length_a 8.899
_cell_length_b 8.899
_cell_length_c 8.899
_cell_angle_alpha 90.00
_cell_angle_beta 90.00
_cell_angle_gamma 90.00
_space_group_name_H-M_alt 'I m -3 m'
_space_group_IT_number 229
_space_group_name_Hall '-I 4 2 3'
loop_
_atom_site_label
_atom_site_fract_x
_atom_site_fract_y
_atom_site_fract_z
Th1 0.250 0.250 0.250
Ga1 0.000 0.000 0.309
Ga2 0.000 0.250 0.500
Au1 0.000 0.000 0.000
```

Principal peaks in the range 2θ from 15° to 90°, in order of falling intensity:
| h k l | Position (°2θ) | intensity |
| --- | --- | --- |
| 2 2 2 | 34.93 | 100 |
| 2 2 0 | 28.37 | 91 |
| 4 0 0 | 40.55 | 79 |
| 4 4 0 | 58.69 | 46 |
| 6 2 2 | 70.15 | 30 |
| 4 2 2 | 50.23 | 29 |
| 6 2 0 | 66.45 | 26 |
| 6 4 2 | 80.82 | 24 |
| 3 2 1 | 37.83 | 23 |
| 2 0 0 | 19.95 | 18 |
| 4 2 0 | 45.59 | 17 |
| 3 3 2 | 47.95 | 14 |

14.
Structure and theoretical powder XRD pattern of Ba2MnCuH6 (a DFT-relaxed cell (PBE, Alexandria); λ = 1.5418 Å (Cu Kα)).

Structure:
```
data_Ba2MnCuH6
_chemical_formula_sum 'Ba8 Mn4 Cu4 H24'
_cell_length_a 7.822
_cell_length_b 7.829
_cell_length_c 8.235
_cell_angle_alpha 90.00
_cell_angle_beta 90.00
_cell_angle_gamma 90.00
_space_group_name_H-M_alt 'F m m m'
_space_group_IT_number 69
_space_group_name_Hall '-F 2 2'
loop_
_atom_site_label
_atom_site_fract_x
_atom_site_fract_y
_atom_site_fract_z
Ba1 0.250 0.250 0.250
Mn1 0.000 0.000 0.000
Cu1 0.000 0.000 0.500
H1 0.000 0.000 0.209
H2 0.000 0.226 0.000
H3 0.227 0.000 0.000
```

Principal peaks in the range 2θ from 15° to 90°, in order of falling intensity:
| h k l | Position (°2θ) | intensity |
| --- | --- | --- |
| 2 0 2 | 31.54 | 100 |
| 2 2 0 | 32.36 | 47 |
| 4 2 2 | 57.20 | 35 |
| 2 2 4 | 55.65 | 19 |
| 4 0 0 | 46.42 | 17 |
| 2 0 0 | 22.73 | 13 |
| 4 0 4 | 65.86 | 12 |
| 0 0 4 | 43.98 | 10 |
| 2 0 6 | 73.06 | 8 |
| 2 2 2 | 39.23 | 8 |
| 0 0 2 | 21.58 | 7 |
| 6 0 2 | 76.64 | 7 |